The following is a computed X-ray diffraction stick pattern of Ta2ReTc. It was derived from the GGA-PBE geometry in the Materials Project, using Cu Ka.
Peak positions follow from Bragg's law for the DFT cell and can differ from measured ones.

Atomic structure:
```
data_Ta2ReTc
_chemical_formula_sum 'Ta8 Re4 Tc4'
_space_group_name_H-M_alt 'F m -3 m'
_space_group_IT_number 225
_space_group_name_Hall '-F 4 2 3'
_cell_length_a 6.3966
_cell_length_b 6.3966
_cell_length_c 6.3966
_cell_angle_alpha 90.00
_cell_angle_beta 90.00
_cell_angle_gamma 90.00
loop_
_atom_site_label
_atom_site_fract_x
_atom_site_fract_y
_atom_site_fract_z
Ta1 0.2500 0.2500 0.2500
Re1 0.0000 0.0000 0.0000
Tc1 0.0000 0.0000 0.5000
```

Top 7 peaks for 2θ = 5–70°, in order of rising 2θ:
2θ 24.1, d = 3.693 Å, I = 4, hkl 1 1 1
2θ 27.9, d = 3.198 Å, I = 2, hkl 2 0 0
2θ 39.9, d = 2.262 Å, I = 100, hkl 2 2 0
2θ 47.1, d = 1.929 Å, I = 2, hkl 3 1 1
2θ 57.6, d = 1.599 Å, I = 17, hkl 4 0 0
2θ 63.4, d = 1.467 Å, I = 1, hkl 3 3 1
2θ 65.2, d = 1.430 Å, I = 1, hkl 4 2 0


The following is a computed X-ray diffraction stick pattern of Ta2TiRe. It was derived from the GGA-PBE geometry in the Materials Project, using Cu Ka.
Peak positions follow from Bragg's law for the DFT cell and can differ from measured ones.

Atomic structure:
```
data_Ta2TiRe
_chemical_formula_sum 'Ta8 Ti4 Re4'
_space_group_name_H-M_alt 'F m -3 m'
_space_group_IT_number 225
_space_group_name_Hall '-F 4 2 3'
_cell_length_a 6.4524
_cell_length_b 6.4524
_cell_length_c 6.4524
_cell_angle_alpha 90.00
_cell_angle_beta 90.00
_cell_angle_gamma 90.00
loop_
_atom_site_label
_atom_site_fract_x
_atom_site_fract_y
_atom_site_fract_z
Ta1 0.2500 0.2500 0.2500
Ti1 0.0000 0.0000 0.0000
Re1 0.0000 0.0000 0.5000
```

Top 8 peaks for 2θ = 5–70°, in order of rising 2θ:
2θ 23.9, d = 3.725 Å, I = 13, hkl 1 1 1
2θ 27.7, d = 3.226 Å, I = 6, hkl 2 0 0
2θ 39.5, d = 2.281 Å, I = 100, hkl 2 2 0
2θ 46.7, d = 1.945 Å, I = 7, hkl 3 1 1
2θ 48.9, d = 1.863 Å, I = 2, hkl 2 2 2
2θ 57.1, d = 1.613 Å, I = 17, hkl 4 0 0
2θ 62.8, d = 1.480 Å, I = 3, hkl 3 3 1
2θ 64.6, d = 1.443 Å, I = 2, hkl 4 2 0


The following is a computed X-ray diffraction stick pattern of Ta2VRe. It was derived from the GGA-PBE geometry in the Materials Project, using Cu Ka.
Peak positions follow from Bragg's law for the DFT cell and can differ from measured ones.

Atomic structure:
```
data_Ta2VRe
_chemical_formula_sum 'Ta8 V4 Re4'
_space_group_name_H-M_alt 'F m -3 m'
_space_group_IT_number 225
_space_group_name_Hall '-F 4 2 3'
_cell_length_a 6.3688
_cell_length_b 6.3688
_cell_length_c 6.3688
_cell_angle_alpha 90.00
_cell_angle_beta 90.00
_cell_angle_gamma 90.00
loop_
_atom_site_label
_atom_site_fract_x
_atom_site_fract_y
_atom_site_fract_z
Ta1 0.2500 0.2500 0.2500
V1 0.0000 0.0000 0.0000
Re1 0.0000 0.0000 0.5000
```

Top 8 peaks for 2θ = 5–70°, in order of rising 2θ:
2θ 24.2, d = 3.677 Å, I = 12, hkl 1 1 1
2θ 28.0, d = 3.184 Å, I = 5, hkl 2 0 0
2θ 40.0, d = 2.252 Å, I = 100, hkl 2 2 0
2θ 47.3, d = 1.920 Å, I = 7, hkl 3 1 1
2θ 49.6, d = 1.839 Å, I = 2, hkl 2 2 2
2θ 57.9, d = 1.592 Å, I = 17, hkl 4 0 0
2θ 63.7, d = 1.461 Å, I = 3, hkl 3 3 1
2θ 65.5, d = 1.424 Å, I = 2, hkl 4 2 0


The following is a computed X-ray diffraction stick pattern of Ta2ReW. It was derived from the GGA-PBE geometry in the Materials Project, using Cu Ka.
Peak positions follow from Bragg's law for the DFT cell and can differ from measured ones.

Atomic structure:
```
data_Ta2ReW
_chemical_formula_sum 'Ta8 Re4 W4'
_space_group_name_H-M_alt 'F m -3 m'
_space_group_IT_number 225
_space_group_name_Hall '-F 4 2 3'
_cell_length_a 6.4491
_cell_length_b 6.4491
_cell_length_c 6.4491
_cell_angle_alpha 90.00
_cell_angle_beta 90.00
_cell_angle_gamma 90.00
loop_
_atom_site_label
_atom_site_fract_x
_atom_site_fract_y
_atom_site_fract_z
Ta1 0.2500 0.2500 0.2500
Re1 0.0000 0.0000 0.0000
W1 0.0000 0.0000 0.5000
```

Top 2 peaks for 2θ = 5–70°, in order of rising 2θ:
2θ 39.5, d = 2.280 Å, I = 100, hkl 2 2 0
2θ 57.1, d = 1.612 Å, I = 17, hkl 4 0 0